This entry pairs a crystal structure of Ca2Er2Bi2C with its simulated XRD peak list. Radiation: Cu Kα (λ = 1.5418 Å). Structure: a GGA-PBE-relaxed structure.

Structure:
a b c (Å): 8.8726 8.8726 8.8726
angles (deg): 148.32 148.32 45.41
Fractional positions:
1 Ca 0.1597 0.1597 0.0000
2 Ca 0.8403 0.8403 0.0000
3 Er 0.0000 0.5000 0.5000
4 Er 0.5000 0.0000 0.5000
5 Bi 0.3619 0.3619 0.0000
6 Bi 0.6381 0.6381 0.0000
7 C 0.0000 0.0000 0.0000

The 12 most intense peaks (10° ≤ 2θ ≤ 90°), by angle:
d [Å]	2theta	Rel. int.
8.185	10.8	36
4.644	19.1	29
3.622	24.6	30
3.159	28.2	50
2.728	32.8	18
2.626	34.1	100
2.422	37.1	48
1.811	50.4	22
1.712	53.5	17
1.563	59.1	15
1.477	62.9	14
1.434	65.0	32

***

This entry pairs a crystal structure of CaBiCO4F with its simulated XRD peak list. Radiation: Cu Kα (λ = 1.5418 Å). Structure: a GGA-PBE-relaxed structure.

Structure:
a b c (Å): 5.4093 13.8205 5.4166
angles (deg): 90.00 90.00 90.00
Fractional positions:
1 Ca 0.0000 0.0993 0.2500
2 Ca 0.0000 0.9007 0.7500
3 Ca 0.5000 0.0993 0.7500
4 Ca 0.5000 0.9007 0.2500
5 Bi 0.0000 0.4060 0.2500
6 Bi 0.0000 0.5940 0.7500
7 Bi 0.5000 0.4060 0.7500
8 Bi 0.5000 0.5940 0.2500
9 C 0.0000 0.2433 0.7500
10 C 0.0000 0.7567 0.2500
11 C 0.5000 0.2433 0.2500
12 C 0.5000 0.7567 0.7500
13 O 0.0000 0.3395 0.7500
14 O 0.0000 0.6605 0.2500
15 O 0.1484 0.1989 0.6032
16 O 0.1484 0.8011 0.1032
17 O 0.2500 0.5000 0.4976
18 O 0.2500 0.5000 0.9976
19 O 0.3516 0.1989 0.1032
20 O 0.3516 0.8011 0.6032
21 O 0.5000 0.3395 0.2500
22 O 0.5000 0.6605 0.7500
23 O 0.6484 0.1989 0.3968
24 O 0.6484 0.8011 0.8968
25 O 0.7500 0.5000 0.0024
26 O 0.7500 0.5000 0.5024
27 O 0.8516 0.1989 0.8968
28 O 0.8516 0.8011 0.3968
29 F 0.2500 0.0000 0.4868
30 F 0.2500 0.0000 0.9868
31 F 0.7500 0.0000 0.0132
32 F 0.7500 0.0000 0.5132

The 12 most intense peaks (10° ≤ 2θ ≤ 90°), by angle:
d [Å]	2theta	Rel. int.
6.910	12.8	18
3.689	24.1	26
3.348	26.6	41
2.944	30.4	100
2.706	33.1	32
2.656	33.7	26
2.565	35.0	15
2.131	42.4	29
1.914	47.5	21
1.754	52.1	37
1.605	57.4	29
1.574	58.6	15

***

This entry pairs a crystal structure of CaBiCO4F with its simulated XRD peak list. Radiation: Cu Kα (λ = 1.5418 Å). Structure: a GGA-PBE-relaxed structure.

Structure:
a b c (Å): 3.4735 4.5550 13.3631
angles (deg): 90.00 90.00 90.00
Fractional positions:
1 Ca 0.2500 0.2500 0.0949
2 Ca 0.7500 0.7500 0.9051
3 Bi 0.2500 0.2500 0.4037
4 Bi 0.7500 0.7500 0.5963
5 C 0.2500 0.2500 0.7617
6 C 0.7500 0.7500 0.2383
7 O 0.2500 0.0053 0.8079
8 O 0.2500 0.2500 0.6624
9 O 0.2500 0.4947 0.8079
10 O 0.2500 0.7500 0.4938
11 O 0.7500 0.2500 0.5062
12 O 0.7500 0.5053 0.1921
13 O 0.7500 0.7500 0.3376
14 O 0.7500 0.9947 0.1921
15 F 0.2500 0.7500 0.0188
16 F 0.7500 0.2500 0.9812

The 12 most intense peaks (10° ≤ 2θ ≤ 90°), by angle:
d [Å]	2theta	Rel. int.
6.682	13.3	29
4.311	20.6	42
3.764	23.6	51
3.185	28.0	100
3.082	29.0	39
2.762	32.4	68
2.739	32.7	87
2.705	33.1	46
2.278	39.6	26
2.129	42.5	53
1.751	52.2	36
1.735	52.8	51